Entry 1:
Starting from a cell relaxed with PBE, the powder diffractogram of BeAu2 was computed for Cu Kα (weighted mean of Kα1 and Kα2).
Kinematic intensities with the Lorentz-polarization factor, no thermal factor.

Crystal structure
```
BeAu2
1.0
5.3129 -1.4883 0.0000
5.3129 1.4883 0.0000
-3.8998 0.0000 5.7581
Be Au
2 4
Direct
0.0000 0.0000 0.0000 Be
0.2240 0.2240 0.4431 Be
0.2667 0.2667 0.8146 Au
0.4892 0.4892 0.7021 Au
0.5170 0.5170 0.3142 Au
0.7423 0.7423 0.1905 Au
```

Top 10 peaks for 2θ = 10–90°, by intensity:
31.75°, rel. 100
34.77°, rel. 79
31.06°, rel. 69
37.97°, rel. 68
42.09°, rel. 61
41.04°, rel. 58
39.30°, rel. 48
39.58°, rel. 42
49.12°, rel. 42
50.07°, rel. 30

Entry 2:
Starting from a cell relaxed with PBE, the powder diffractogram of Ca2BeAu7 was computed for Cu Kα (weighted mean of Kα1 and Kα2).
Kinematic intensities with the Lorentz-polarization factor, no thermal factor.

Crystal structure
```
Ca2BeAu7
1.0
3.9311 0.0000 0.0000
0.0000 3.9311 0.0000
0.0000 0.0000 13.5414
Ca Be Au
2 1 7
Direct
0.0000 0.5000 0.2432 Ca
0.5000 0.0000 0.7568 Ca
0.5000 0.5000 0.0000 Be
0.0000 0.0000 0.0000 Au
0.0000 0.0000 0.5000 Au
0.0000 0.5000 0.6572 Au
0.0000 0.5000 0.8595 Au
0.5000 0.0000 0.1405 Au
0.5000 0.0000 0.3428 Au
0.5000 0.5000 0.5000 Au
```

Top 10 peaks for 2θ = 10–90°, by intensity:
34.90°, rel. 100
23.57°, rel. 100
42.06°, rel. 90
40.44°, rel. 56
46.18°, rel. 56
63.04°, rel. 30
82.70°, rel. 27
62.68°, rel. 26
30.15°, rel. 25
52.49°, rel. 25

Entry 3:
Starting from a cell relaxed with PBE, the powder diffractogram of Ca3Be2Au9 was computed for Cu Kα (weighted mean of Kα1 and Kα2).
Kinematic intensities with the Lorentz-polarization factor, no thermal factor.

Crystal structure
```
Ca3Be2Au9
1.0
-2.3654 4.4612 6.5837
2.3654 -4.4612 6.5837
2.3654 4.4612 -6.5837
Ca Be Au
3 2 9
Direct
0.0000 0.0000 0.0000 Ca
0.2774 0.2774 0.0000 Ca
0.7226 0.7226 0.0000 Ca
0.3705 0.5000 0.8705 Be
0.6295 0.5000 0.1295 Be
0.0493 0.3886 0.6606 Au
0.1371 0.8298 0.3073 Au
0.2720 0.6114 0.6606 Au
0.4775 0.1702 0.3073 Au
0.5000 0.0000 0.5000 Au
0.5225 0.8298 0.6927 Au
0.7280 0.3886 0.3394 Au
0.8629 0.1702 0.6927 Au
0.9507 0.6114 0.3394 Au
```

Top 10 peaks for 2θ = 10–90°, by intensity:
21.26°, rel. 100
35.66°, rel. 97
38.04°, rel. 76
39.15°, rel. 72
45.35°, rel. 66
34.36°, rel. 53
33.84°, rel. 43
19.90°, rel. 38
45.50°, rel. 31
35.54°, rel. 31